No. 1
For Y3Bi2Sb, a DFT-relaxed cell (PBE, Alexandria) gives the computed PXRD pattern in this record (Cu Kα X-rays).
Neutral-atom scattering factors, no anomalous dispersion.

```
Y3Bi2Sb
1.0
0.000 6.295 13.350
4.452 0.000 13.350
4.452 6.295 0.000
Y Bi Sb
12 8 4
Cartesian
3.318 1.547 7.760 Y
5.612 4.721 10.013 Y
3.361 1.547 12.265 Y
5.587 4.694 14.435 Y
7.838 7.869 16.688 Y
5.544 4.694 18.940 Y
3.361 7.895 7.760 Y
1.067 4.721 10.013 Y
3.318 7.895 12.265 Y
5.544 11.043 14.435 Y
3.293 7.869 16.688 Y
5.587 11.043 18.940 Y
3.339 4.721 3.351 Bi
3.339 4.721 7.805 Bi
5.566 7.869 10.026 Bi
3.339 4.721 12.221 Bi
5.566 7.869 14.480 Bi
3.339 4.721 16.674 Bi
5.566 7.869 18.896 Bi
5.566 7.869 23.349 Bi
1.113 1.574 1.113 Sb
1.113 1.574 5.562 Sb
7.792 11.016 21.138 Sb
7.792 11.016 25.588 Sb
```

Top 8 peaks for 2θ from 10° to 80°, sorted by position:
| 2θ/deg | d (Å) | I/Imax |
| --- | --- | --- |
| 24.5 | 3.634 | 19 |
| 28.4 | 3.148 | 100 |
| 40.5 | 2.226 | 77 |
| 47.9 | 1.898 | 11 |
| 50.2 | 1.817 | 28 |
| 58.7 | 1.574 | 13 |
| 66.4 | 1.408 | 36 |
| 73.7 | 1.285 | 26 |



No. 2
For U4C3, a DFT-relaxed cell (PBE, Alexandria) gives the computed PXRD pattern in this record (Cu Kα X-rays).
Neutral-atom scattering factors, no anomalous dispersion.

```
U4C3
1.0
5.728 -1.629 0.000
5.728 1.629 0.000
-2.338 0.000 5.820
U C
4 3
Cartesian
0.123 0.000 2.627 U
3.950 0.000 0.035 U
5.168 0.000 5.785 U
8.996 0.000 3.194 U
0.000 0.000 0.000 C
2.272 0.000 1.820 C
6.846 0.000 4.001 C
```

Top 8 peaks for 2θ from 10° to 80°, sorted by position:
| 2θ/deg | d (Å) | I/Imax |
| --- | --- | --- |
| 30.7 | 2.910 | 88 |
| 31.1 | 2.880 | 57 |
| 33.7 | 2.658 | 49 |
| 34.1 | 2.629 | 100 |
| 36.3 | 2.475 | 51 |
| 36.8 | 2.445 | 84 |
| 52.7 | 1.738 | 49 |
| 58.8 | 1.571 | 30 |



No. 3
For Ca3CuIrO6, a DFT-relaxed cell (PBE, Alexandria) gives the computed PXRD pattern in this record (Cu Kα X-rays).
Neutral-atom scattering factors, no anomalous dispersion.

```
Ca3CuIrO6
1.0
4.574 -4.684 0.000
4.574 4.684 0.000
-0.002 0.000 6.507
Ca Cu Ir O
6 2 2 12
Cartesian
4.572 3.783 4.880 Ca
2.879 0.711 5.731 Ca
2.880 -0.711 2.477 Ca
6.266 0.711 4.030 Ca
6.267 -0.711 0.776 Ca
4.573 -3.783 1.627 Ca
4.573 1.772 1.627 Cu
4.572 -1.772 4.880 Cu
2.286 2.342 3.254 Ir
2.287 -2.342 0.000 Ir
1.310 0.623 3.672 O
2.584 1.725 1.348 O
1.311 -0.623 0.418 O
4.069 1.421 3.544 O
5.076 1.421 6.217 O
2.583 -1.725 4.601 O
6.563 1.725 1.906 O
4.070 -1.421 0.290 O
5.077 -1.421 2.963 O
7.835 0.623 6.089 O
6.562 -1.725 5.160 O
7.836 -0.623 2.836 O
```

Top 8 peaks for 2θ from 10° to 80°, sorted by position:
| 2θ/deg | d (Å) | I/Imax |
| --- | --- | --- |
| 18.9 | 4.684 | 28 |
| 19.2 | 4.614 | 100 |
| 19.4 | 4.574 | 18 |
| 33.3 | 2.691 | 46 |
| 33.8 | 2.650 | 47 |
| 39.0 | 2.307 | 22 |
| 43.8 | 2.069 | 20 |
| 44.0 | 2.058 | 37 |



No. 4
For Hf3Ir2, a DFT-relaxed cell (PBE, Alexandria) gives the computed PXRD pattern in this record (Cu Kα X-rays).
Neutral-atom scattering factors, no anomalous dispersion.

```
Hf3Ir2
1.0
10.452 0.000 0.000
0.000 3.437 0.000
0.000 0.000 11.004
Hf Ir
12 8
Cartesian
0.599 0.859 1.445 Hf
1.370 2.578 6.036 Hf
2.244 0.859 8.615 Hf
2.982 2.578 3.113 Hf
3.856 0.859 0.534 Hf
4.627 2.578 6.947 Hf
5.825 0.859 4.057 Hf
6.595 2.578 10.470 Hf
7.470 0.859 7.891 Hf
8.208 2.578 2.389 Hf
9.082 0.859 4.968 Hf
9.853 2.578 9.559 Hf
0.205 2.578 3.548 Ir
1.893 2.578 10.729 Ir
3.333 0.859 5.227 Ir
5.021 0.859 9.050 Ir
5.431 2.578 1.954 Ir
7.119 2.578 5.777 Ir
8.558 0.859 0.275 Ir
10.247 0.859 7.456 Ir
```

Top 8 peaks for 2θ from 10° to 80°, sorted by position:
| 2θ/deg | d (Å) | I/Imax |
| --- | --- | --- |
| 31.9 | 2.808 | 46 |
| 35.3 | 2.544 | 100 |
| 35.8 | 2.508 | 71 |
| 36.9 | 2.436 | 66 |
| 38.1 | 2.360 | 32 |
| 40.3 | 2.236 | 32 |
| 46.7 | 1.946 | 34 |
| 53.3 | 1.719 | 36 |



No. 5
For Tb2HgSb, a DFT-relaxed cell (PBE, Alexandria) gives the computed PXRD pattern in this record (Cu Kα X-rays).
Neutral-atom scattering factors, no anomalous dispersion.

```
Tb2HgSb
1.0
2.086 -12.064 0.000
2.086 12.064 0.000
0.000 0.000 4.581
Tb Hg Sb
4 2 2
Cartesian
2.086 10.507 3.435 Tb
2.086 4.396 3.435 Tb
2.086 -4.396 1.145 Tb
2.086 -10.507 1.145 Tb
2.086 1.055 3.435 Hg
2.086 -1.055 1.145 Hg
2.086 7.491 3.435 Sb
2.086 -7.491 1.145 Sb
```

Top 8 peaks for 2θ from 10° to 80°, sorted by position:
| 2θ/deg | d (Å) | I/Imax |
| --- | --- | --- |
| 29.2 | 3.059 | 100 |
| 29.6 | 3.016 | 55 |
| 31.1 | 2.880 | 24 |
| 39.2 | 2.298 | 82 |
| 39.3 | 2.290 | 33 |
| 43.4 | 2.086 | 25 |
| 50.0 | 1.824 | 24 |
| 68.3 | 1.373 | 22 |



No. 6
For Ac2Cd2In, a DFT-relaxed cell (PBE, Alexandria) gives the computed PXRD pattern in this record (Cu Kα X-rays).
Neutral-atom scattering factors, no anomalous dispersion.

```
Ac2Cd2In
1.0
6.114 -2.588 0.000
6.114 2.588 0.000
-3.904 0.000 9.969
Ac Cd In
4 4 2
Cartesian
-0.287 0.000 3.758 Ac
1.843 0.000 0.495 Ac
6.479 0.000 9.474 Ac
8.610 0.000 6.211 Ac
3.397 0.000 3.714 Cd
2.714 0.000 8.531 Cd
5.608 0.000 1.438 Cd
4.926 0.000 6.255 Cd
-0.059 0.000 7.232 In
8.382 0.000 2.736 In
```

Top 8 peaks for 2θ from 10° to 80°, sorted by position:
| 2θ/deg | d (Å) | I/Imax |
| --- | --- | --- |
| 26.8 | 3.323 | 17 |
| 29.2 | 3.061 | 45 |
| 29.4 | 3.038 | 67 |
| 29.9 | 2.984 | 22 |
| 30.5 | 2.932 | 100 |
| 33.1 | 2.709 | 91 |
| 34.7 | 2.588 | 56 |
| 55.6 | 1.654 | 16 |



Q: Number 5 is which compound?
A: Tb2HgSb



Copy entry 2 word for word.
For U4C3, a DFT-relaxed cell (PBE, Alexandria) gives the computed PXRD pattern in this record (Cu Kα X-rays).
Neutral-atom scattering factors, no anomalous dispersion.

```
U4C3
1.0
5.728 -1.629 0.000
5.728 1.629 0.000
-2.338 0.000 5.820
U C
4 3
Cartesian
0.123 0.000 2.627 U
3.950 0.000 0.035 U
5.168 0.000 5.785 U
8.996 0.000 3.194 U
0.000 0.000 0.000 C
2.272 0.000 1.820 C
6.846 0.000 4.001 C
```

Top 8 peaks for 2θ from 10° to 80°, sorted by position:
| 2θ/deg | d (Å) | I/Imax |
| --- | --- | --- |
| 30.7 | 2.910 | 88 |
| 31.1 | 2.880 | 57 |
| 33.7 | 2.658 | 49 |
| 34.1 | 2.629 | 100 |
| 36.3 | 2.475 | 51 |
| 36.8 | 2.445 | 84 |
| 52.7 | 1.738 | 49 |
| 58.8 | 1.571 | 30 |